Calculated XRD peak list
Compound: AcTbBi2S6
Radiation: CuKα
Structure: a crystal structure in Alexandria, relaxed with PBE

Main lines, low angle first (10° ≤ 2θ ≤ 80°):
2θ = 16.98°, rel. 318, hkl 0 1 2; 2θ = 23.52°, rel. 950, hkl 1 0 4; 2θ = 24.67°, rel. 1000, hkl 1 1 0; 2θ = 34.35°, rel. 462, hkl 0 2 4; 2θ = 37.79°, rel. 638, hkl 2 -1 6; 2θ = 42.75°, rel. 479, hkl 3 -1 4; 2θ = 43.43°, rel. 425, hkl 3 0 0; 2θ = 50.18°, rel. 197, hkl 1 0 10; 2θ = 56.51°, rel. 171, hkl 1 3 4; 2θ = 62.75°, rel. 181, hkl 2 1 10

```
data_AcTbBi2S6
_chemical_formula_sum 'Ac3 Tb3 Bi6 S18'
_symmetry_space_group_name_H-M 'R 3'
_symmetry_Int_Tables_number 146
_symmetry_space_group_name_Hall 'R 3'
_cell_length_a 7.2176
_cell_length_b 7.2176
_cell_length_c 19.0026
_cell_angle_alpha 90.00
_cell_angle_beta 90.00
_cell_angle_gamma 120.00
loop_
_atom_site_label
_atom_site_fract_x
_atom_site_fract_y
_atom_site_fract_z
Ac1 0.0000 0.0000 0.0000
Tb1 0.0000 0.0000 0.4916
Bi1 0.0000 0.0000 0.2885
Bi2 0.0000 0.0000 0.7936
S1 0.0239 0.7266 0.3923
S2 0.0312 0.3576 0.5565
```

Calculated XRD peak list
Compound: GaSiHAuS
Radiation: CuKα
Structure: a crystal structure in Alexandria, relaxed with PBE

Main lines, low angle first (10° ≤ 2θ ≤ 80°):
2θ = 17.20°, rel. 419, hkl 0 0 1; 2θ = 19.73°, rel. 1000, hkl 0 1 0; 2θ = 23.39°, rel. 642, hkl 1 0 0; 2θ = 23.66°, rel. 480, hkl 0 1 1; 2θ = 28.56°, rel. 807, hkl 1 1 0; 2θ = 32.87°, rel. 639, hkl 1 -1 0; 2θ = 34.81°, rel. 552, hkl 0 0 2; 2θ = 36.76°, rel. 308, hkl 0 1 2; 2θ = 38.69°, rel. 520, hkl 1 1 2; 2θ = 48.39°, rel. 342, hkl 1 -1 2

```
data_GaSiHAuS
_chemical_formula_sum 'Ga1 Si1 H1 Au1 S1'
_symmetry_space_group_name_H-M 'P 1'
_symmetry_Int_Tables_number 1
_symmetry_space_group_name_Hall 'P 1'
_cell_length_a 3.9233
_cell_length_b 4.6558
_cell_length_c 5.3638
_cell_angle_alpha 77.39
_cell_angle_beta 78.17
_cell_angle_gamma 79.81
loop_
_atom_site_label
_atom_site_fract_x
_atom_site_fract_y
_atom_site_fract_z
Ga1 0.0000 0.0000 0.0000
Si1 0.4610 0.3947 0.4057
H1 0.3041 0.6616 0.5479
Au1 0.0019 0.0866 0.4861
S1 0.5593 0.6211 0.0100
```

Calculated XRD peak list
Compound: Cu15Ni
Radiation: CuKα
Structure: a crystal structure in Alexandria, relaxed with PBE

Main lines, low angle first (10° ≤ 2θ ≤ 80°):
2θ = 40.74°, rel. 247, hkl 2 0 0; 2θ = 43.21°, rel. 276, hkl 0 0 4; 2θ = 46.38°, rel. 1000, hkl 2 0 2; 2θ = 60.89°, rel. 138, hkl 2 0 4; 2θ = 74.16°, rel. 146, hkl 2 2 0

```
data_Cu15Ni
_chemical_formula_sum 'Cu15 Ni1'
_symmetry_space_group_name_H-M 'P -6 m 2'
_symmetry_Int_Tables_number 187
_symmetry_space_group_name_Hall 'P -6 2'
_cell_length_a 5.1144
_cell_length_b 5.1144
_cell_length_c 8.3757
_cell_angle_alpha 90.00
_cell_angle_beta 90.00
_cell_angle_gamma 120.00
loop_
_atom_site_label
_atom_site_fract_x
_atom_site_fract_y
_atom_site_fract_z
Cu1 0.0000 0.0000 0.0000
Cu2 0.0001 0.5000 0.5000
Cu3 0.3319 0.1659 0.2513
Cu4 0.3333 0.6667 0.2494
Cu5 0.5003 0.0007 0.0000
Ni1 0.0000 0.0000 0.5000
```

Calculated XRD peak list
Compound: Pr3Ga3Cu
Radiation: CuKα
Structure: a crystal structure in Alexandria, relaxed with PBE

Main lines, low angle first (10° ≤ 2θ ≤ 80°):
2θ = 31.00°, rel. 1000, hkl 1 1 3; 2θ = 31.15°, rel. 675, hkl 1 1 -4; 2θ = 31.74°, rel. 901, hkl 3 1 -1; 2θ = 32.85°, rel. 500, hkl 4 0 -2; 2θ = 38.86°, rel. 514, hkl 0 0 6; 2θ = 39.24°, rel. 642, hkl 3 1 -5; 2θ = 39.88°, rel. 641, hkl 0 2 0; 2θ = 52.60°, rel. 267, hkl 4 2 -2; 2θ = 63.22°, rel. 253, hkl 7 1 -4; 2θ = 66.97°, rel. 258, hkl 1 3 3

```
data_Pr3Ga3Cu
_chemical_formula_sum 'Pr12 Ga12 Cu4'
_symmetry_space_group_name_H-M 'C 1 2/m 1'
_symmetry_Int_Tables_number 12
_symmetry_space_group_name_Hall '-C 2y'
_cell_length_a 10.9067
_cell_length_b 4.5207
_cell_length_c 14.8737
_cell_angle_alpha 90.00
_cell_angle_beta 110.80
_cell_angle_gamma 90.00
loop_
_atom_site_label
_atom_site_fract_x
_atom_site_fract_y
_atom_site_fract_z
Pr1 0.0239 0.0000 0.2685
Pr2 0.1678 0.5000 0.1139
Pr3 0.1801 0.0000 0.5764
Ga1 0.0314 0.5000 0.4227
Ga2 0.0881 0.0000 0.9570
Ga3 0.1857 0.5000 0.7322
Cu1 0.1372 0.5000 0.8932
```

Calculated XRD peak list
Compound: La3Ho4In
Radiation: CuKα
Structure: a crystal structure in Alexandria, relaxed with PBE

Main lines, low angle first (10° ≤ 2θ ≤ 80°):
2θ = 28.61°, rel. 239, hkl 0 0 2; 2θ = 31.44°, rel. 246, hkl 4 0 0; 2θ = 32.74°, rel. 1000, hkl 2 2 1; 2θ = 43.02°, rel. 154, hkl 4 0 2; 2θ = 50.62°, rel. 127, hkl 0 2 3; 2θ = 50.80°, rel. 65, hkl 0 4 0; 2θ = 56.81°, rel. 133, hkl 6 2 1; 2θ = 60.81°, rel. 139, hkl 4 2 3; 2θ = 60.97°, rel. 72, hkl 4 4 0; 2θ = 61.72°, rel. 100, hkl 2 4 2

```
data_La3Ho4In
_chemical_formula_sum 'La6 Ho8 In2'
_symmetry_space_group_name_H-M 'P m n 21'
_symmetry_Int_Tables_number 31
_symmetry_space_group_name_Hall 'P 2ac -2'
_cell_length_a 11.3824
_cell_length_b 7.1897
_cell_length_c 6.2532
_cell_angle_alpha 90.00
_cell_angle_beta 90.00
_cell_angle_gamma 90.00
loop_
_atom_site_label
_atom_site_fract_x
_atom_site_fract_y
_atom_site_fract_z
La1 0.0000 0.1216 0.0000
La2 0.2452 0.6192 0.6563
Ho1 0.0000 0.6253 0.9834
Ho2 0.0000 0.8624 0.4616
Ho3 0.2378 0.1272 0.6330
In1 0.0000 0.3741 0.4887
```

Calculated XRD peak list
Compound: TbPr2Se3
Radiation: CuKα
Structure: a crystal structure in Alexandria, relaxed with PBE

Main lines, low angle first (10° ≤ 2θ ≤ 80°):
2θ = 25.69°, rel. 88, hkl 2 2 0; 2θ = 30.02°, rel. 1000, hkl 0 4 0; 2θ = 42.36°, rel. 128, hkl 4 0 0; 2θ = 42.98°, rel. 495, hkl 2 4 6; 2θ = 43.55°, rel. 118, hkl 0 0 12; 2θ = 52.80°, rel. 134, hkl 4 4 0; 2θ = 53.82°, rel. 127, hkl 0 4 12; 2θ = 62.40°, rel. 120, hkl 0 8 0; 2θ = 70.78°, rel. 110, hkl 4 4 12; 2θ = 70.83°, rel. 110, hkl 2 8 6

```
data_TbPr2Se3
_chemical_formula_sum 'Tb16 Pr32 Se48'
_symmetry_space_group_name_H-M 'F d d d'
_symmetry_Int_Tables_number 70
_cell_length_a 8.5348
_cell_length_b 11.8967
_cell_length_c 24.9356
_cell_angle_alpha 90.00
_cell_angle_beta 90.00
_cell_angle_gamma 90.00
loop_
_symmetry_equiv_pos_as_xyz
'x,y,z'
'-x,-y,-z'
'-x+1/4,-y+1/4,z'
'x+1/4,y+1/4,-z'
'x,-y+1/4,-z+1/4'
'-x,y+1/4,z+1/4'
'-x+1/4,y,-z+1/4'
'x+1/4,-y,z+1/4'
'x,y+1/2,z+1/2'
'-x,-y+1/2,-z+1/2'
'-x+1/4,-y+3/4,z+1/2'
'x+1/4,y+3/4,-z+1/2'
'x,-y+3/4,-z+3/4'
'-x,y+3/4,z+3/4'
'-x+1/4,y+1/2,-z+3/4'
'x+1/4,-y+1/2,z+3/4'
'x+1/2,y,z+1/2'
'-x+1/2,-y,-z+1/2'
'-x+3/4,-y+1/4,z+1/2'
'x+3/4,y+1/4,-z+1/2'
'x+1/2,-y+1/4,-z+3/4'
'-x+1/2,y+1/4,z+3/4'
'-x+3/4,y,-z+3/4'
'x+3/4,-y,z+3/4'
'x+1/2,y+1/2,z'
'-x+1/2,-y+1/2,-z'
'-x+3/4,-y+3/4,z'
'x+3/4,y+3/4,-z'
'x+1/2,-y+3/4,-z+1/4'
'-x+1/2,y+3/4,z+1/4'
'-x+3/4,y+1/2,-z+1/4'
'x+3/4,-y+1/2,z+1/4'
loop_
_atom_site_label
_atom_site_fract_x
_atom_site_fract_y
_atom_site_fract_z
Tb1 0.1250 0.1250 0.0420
Pr1 0.1250 0.1250 0.3767
Pr2 0.1250 0.1250 0.5444
Se1 0.1115 0.3750 0.3750
Se2 0.1190 0.3697 0.2107
```

Calculated XRD peak list
Compound: Pu3Mn3Ga
Radiation: CuKα
Structure: a crystal structure in Alexandria, relaxed with PBE

Main lines, low angle first (10° ≤ 2θ ≤ 80°):
2θ = 28.43°, rel. 596, hkl 0 2 1; 2θ = 34.91°, rel. 1000, hkl 3 0 0; 2θ = 35.25°, rel. 208, hkl 0 1 2; 2θ = 40.47°, rel. 421, hkl 2 2 0; 2θ = 40.81°, rel. 565, hkl 2 0 2; 2θ = 45.81°, rel. 200, hkl 1 2 2; 2θ = 54.51°, rel. 304, hkl 3 2 1; 2θ = 62.56°, rel. 214, hkl 0 5 1; 2θ = 62.76°, rel. 225, hkl 2 3 2; 2θ = 63.07°, rel. 213, hkl 0 3 3

```
data_Pu3Mn3Ga
_chemical_formula_sum 'Pu9 Mn9 Ga3'
_symmetry_space_group_name_H-M 'R 3 m'
_symmetry_Int_Tables_number 160
_symmetry_space_group_name_Hall 'R 3 -2"'
_cell_length_a 8.9154
_cell_length_b 8.9154
_cell_length_c 5.3941
_cell_angle_alpha 90.00
_cell_angle_beta 90.00
_cell_angle_gamma 120.00
loop_
_atom_site_label
_atom_site_fract_x
_atom_site_fract_y
_atom_site_fract_z
Pu1 0.0643 0.5322 0.0000
Mn1 0.1726 0.3452 0.7890
Ga1 0.0000 0.0000 0.8647
```

Calculated XRD peak list
Compound: CrCd2Pb
Radiation: CuKα
Structure: a crystal structure in Alexandria, relaxed with PBE

Main lines, low angle first (10° ≤ 2θ ≤ 80°):
2θ = 17.99°, rel. 291, hkl 2 0 0; 2θ = 30.80°, rel. 358, hkl 1 1 -1; 2θ = 33.13°, rel. 405, hkl 2 0 -2; 2θ = 35.05°, rel. 1000, hkl 1 1 1; 2θ = 36.33°, rel. 290, hkl 0 0 2; 2θ = 36.46°, rel. 476, hkl 4 0 0; 2θ = 36.73°, rel. 913, hkl 3 1 -1; 2θ = 39.53°, rel. 190, hkl 4 0 -2; 2θ = 57.74°, rel. 222, hkl 3 1 -3; 2θ = 66.22°, rel. 258, hkl 4 2 0

```
data_CrCd2Pb
_chemical_formula_sum 'Cr2 Cd4 Pb2'
_symmetry_space_group_name_H-M 'C 1 m 1'
_symmetry_Int_Tables_number 8
_symmetry_space_group_name_Hall 'C -2y'
_cell_length_a 10.8283
_cell_length_b 3.4411
_cell_length_c 5.4329
_cell_angle_alpha 90.00
_cell_angle_beta 114.44
_cell_angle_gamma 90.00
loop_
_atom_site_label
_atom_site_fract_x
_atom_site_fract_y
_atom_site_fract_z
Cr1 0.0000 0.0000 0.0000
Cd1 0.2236 0.5000 0.3623
Cd2 0.4813 0.0000 0.5054
Pb1 0.2550 0.0000 0.8870
```

Calculated XRD peak list
Compound: Tl3Hg5Sb2
Radiation: CuKα
Structure: a crystal structure in Alexandria, relaxed with PBE

Main lines, low angle first (10° ≤ 2θ ≤ 80°):
2θ = 16.38°, rel. 256, hkl 2 0 0; 2θ = 27.21°, rel. 391, hkl 2 4 0; 2θ = 29.77°, rel. 1000, hkl 2 0 2; 2θ = 30.82°, rel. 163, hkl 1 3 2; 2θ = 33.05°, rel. 956, hkl 0 4 2; 2θ = 35.87°, rel. 173, hkl 4 1 1; 2θ = 37.09°, rel. 169, hkl 2 4 2; 2θ = 46.77°, rel. 152, hkl 3 2 3; 2θ = 50.71°, rel. 210, hkl 0 0 4; 2θ = 58.51°, rel. 182, hkl 2 4 4

```
data_Tl3Hg5Sb2
_chemical_formula_sum 'Tl12 Hg20 Sb8'
_symmetry_space_group_name_H-M 'I b a m'
_symmetry_Int_Tables_number 72
_symmetry_space_group_name_Hall '-I 2 2c'
_cell_length_a 10.8242
_cell_length_b 16.4728
_cell_length_c 7.2029
_cell_angle_alpha 90.00
_cell_angle_beta 90.00
_cell_angle_gamma 90.00
loop_
_atom_site_label
_atom_site_fract_x
_atom_site_fract_y
_atom_site_fract_z
Tl1 0.0000 0.0000 0.2500
Tl2 0.2315 0.3398 0.0000
Hg1 0.0000 0.2238 0.2500
Hg2 0.0000 0.5000 0.2500
Hg3 0.0766 0.3601 0.5000
Sb1 0.1580 0.1260 0.0000
```

Calculated XRD peak list
Compound: In4GaAg5
Radiation: CuKα
Structure: a crystal structure in Alexandria, relaxed with PBE

Main lines, low angle first (10° ≤ 2θ ≤ 80°):
2θ = 33.68°, rel. 724, hkl 0 2 2; 2θ = 35.71°, rel. 829, hkl 2 0 0; 2θ = 37.01°, rel. 765, hkl 1 1 -2; 2θ = 37.38°, rel. 1000, hkl 1 -1 2; 2θ = 37.53°, rel. 650, hkl 1 2 -1; 2θ = 37.91°, rel. 786, hkl 1 2 2; 2θ = 38.22°, rel. 676, hkl 1 -2 1; 2θ = 38.61°, rel. 552, hkl -1 2 2; 2θ = 39.93°, rel. 887, hkl 0 0 3; 2θ = 41.85°, rel. 733, hkl 0 3 0

```
data_In4GaAg5
_chemical_formula_sum 'In4 Ga1 Ag5'
_symmetry_space_group_name_H-M 'P 1'
_symmetry_Int_Tables_number 1
_symmetry_space_group_name_Hall 'P 1'
_cell_length_a 5.0309
_cell_length_b 6.6503
_cell_length_c 6.9579
_cell_angle_alpha 76.90
_cell_angle_beta 89.67
_cell_angle_gamma 88.45
loop_
_atom_site_label
_atom_site_fract_x
_atom_site_fract_y
_atom_site_fract_z
In1 0.0000 0.0000 0.0000
In2 0.0051 0.4216 0.1227
In3 0.4804 0.0361 0.3456
In4 0.4862 0.4585 0.4675
Ga1 0.7423 0.7249 0.7369
Ag1 0.2421 0.7337 0.7309
Ag2 0.5010 0.1073 0.7787
Ag3 0.5023 0.7335 0.0980
Ag4 0.9793 0.7247 0.3690
Ag5 0.9887 0.3522 0.6896
```